1.
EuZrFeBiO6: computed powder X-ray diffraction pattern (a wavelength of 1.5418 Å), based on a PBE+U-relaxed structure.

Structural model:
```
data_EuZrFeBiO6
_chemical_formula_sum 'Eu4 Zr4 Fe4 Bi4 O24'
_cell_length_a 8.128
_cell_length_b 8.128
_cell_length_c 8.128
_cell_angle_alpha 90.00
_cell_angle_beta 90.00
_cell_angle_gamma 90.00
_space_group_name_H-M_alt 'F -4 3 m'
_space_group_IT_number 216
_space_group_name_Hall 'F -4 2 3'
loop_
_atom_site_label
_atom_site_type_symbol
_atom_site_fract_x
_atom_site_fract_y
_atom_site_fract_z
Eu1 Eu 0.000 0.000 0.000
Zr1 Zr 0.250 0.250 0.250
Fe1 Fe 0.250 0.250 0.750
Bi1 Bi 0.000 0.000 0.500
O1 O 0.005 0.250 0.750
```

Main lines, by angle (2θ from 10° to 90°):
| 2theta | intensity | index |
| --- | --- | --- |
| 18.9 | 3.6 | 1 1 1 |
| 21.9 | 14.0 | 2 0 0 |
| 31.1 | 100.0 | 2 2 0 |
| 38.4 | 15.6 | 2 2 2 |
| 44.6 | 29.7 | 4 0 0 |
| 50.2 | 7.8 | 4 2 0 |
| 55.4 | 40.1 | 4 2 2 |
| 64.9 | 18.3 | 4 4 0 |
| 69.4 | 4.2 | 4 4 2 |
| 73.7 | 17.5 | 6 2 0 |
| 78.0 | 5.4 | 6 2 2 |
| 82.2 | 6.2 | 4 4 4 |

2.
Ba3Nd3Co6O16: computed powder X-ray diffraction pattern (a wavelength of 1.5418 Å), based on a PBE+U-relaxed structure.

Structural model:
```
data_Ba3Nd3Co6O16
_chemical_formula_sum 'Ba6 Nd6 Co12 O32'
_cell_length_a 16.373
_cell_length_b 5.645
_cell_length_c 9.551
_cell_angle_alpha 90.00
_cell_angle_beta 123.83
_cell_angle_gamma 90.00
_space_group_name_H-M_alt 'C 1 2/m 1'
_space_group_IT_number 12
_space_group_name_Hall '-C 2y'
loop_
_atom_site_label
_atom_site_type_symbol
_atom_site_fract_x
_atom_site_fract_y
_atom_site_fract_z
Ba1 Ba 0.000 0.000 0.000
Ba2 Ba 0.164 0.500 0.333
Nd1 Nd 0.000 0.500 0.500
Nd2 Nd 0.159 0.000 0.816
Co1 Co 0.081 0.000 0.420
Co2 Co 0.087 0.500 0.921
Co3 Co 0.249 0.000 0.242
O1 O 0.000 0.000 0.500
O2 O 0.000 0.500 0.000
O3 O 0.020 0.261 0.744
O4 O 0.157 0.000 0.337
O5 O 0.158 0.262 0.606
O6 O 0.184 0.249 0.065
```

Main lines, by angle (2θ from 10° to 90°):
| 2theta | intensity | index |
| --- | --- | --- |
| 22.3 | 13.8 | 1 1 1 |
| 31.7 | 23.5 | 0 2 0 |
| 31.8 | 22.8 | 2 0 2 |
| 32.3 | 100.0 | 5 1 -1 |
| 39.6 | 15.3 | 4 2 -2 |
| 45.5 | 30.2 | 2 2 2 |
| 47.2 | 11.6 | 8 0 -4 |
| 56.9 | 28.9 | 5 3 -1 |
| 57.1 | 9.2 | 7 1 1 |
| 58.0 | 14.8 | 8 2 -4 |
| 67.6 | 7.3 | 6 2 -6 |
| 67.8 | 7.3 | 10 2 -2 |

3.
LiNiP3O9: computed powder X-ray diffraction pattern (a wavelength of 1.5418 Å), based on a PBE+U-relaxed structure.

Structural model:
```
data_LiNiP3O9
_chemical_formula_sum 'Li4 Ni4 P12 O36'
_cell_length_a 9.358
_cell_length_b 9.433
_cell_length_c 9.603
_cell_angle_alpha 108.91
_cell_angle_beta 104.68
_cell_angle_gamma 110.23
_space_group_name_H-M_alt 'P -1'
_space_group_IT_number 2
_space_group_name_Hall '-P 1'
loop_
_atom_site_label
_atom_site_type_symbol
_atom_site_fract_x
_atom_site_fract_y
_atom_site_fract_z
Li1 Li 0.074 0.304 0.216
Li2 Li 0.233 0.771 0.735
Ni1 Ni 0.334 0.935 0.508
Ni2 Ni 0.379 0.172 0.309
P1 P 0.007 0.396 0.645
P2 P 0.048 0.786 0.155
P3 P 0.196 0.083 0.920
P4 P 0.326 0.431 0.591
P5 P 0.416 0.660 0.290
P6 P 0.479 0.855 0.105
O1 O 0.009 0.371 0.803
O2 O 0.035 0.569 0.675
O3 O 0.056 0.733 0.998
O4 O 0.105 0.174 0.846
O5 O 0.110 0.901 0.802
O6 O 0.148 0.753 0.498
O7 O 0.164 0.371 0.627
O8 O 0.209 0.936 0.302
O9 O 0.225 0.137 0.095
O10 O 0.267 0.521 0.270
O11 O 0.283 0.311 0.422
O12 O 0.369 0.181 0.908
O13 O 0.370 0.833 0.952
O14 O 0.383 0.700 0.141
O15 O 0.408 0.619 0.647
O16 O 0.434 0.384 0.713
O17 O 0.457 0.980 0.740
O18 O 0.491 0.831 0.449
```

Main lines, by angle (2θ from 10° to 90°):
| 2theta | intensity | index |
| --- | --- | --- |
| 10.7 | 40.7 | 0 0 1 |
| 11.1 | 50.3 | 1 0 0 |
| 11.2 | 35.2 | 0 1 0 |
| 11.8 | 63.4 | 1 0 -1 |
| 18.7 | 46.3 | 0 1 1 |
| 23.1 | 37.9 | 0 2 -2 |
| 24.9 | 46.9 | -1 1 2 |
| 25.8 | 48.0 | 1 2 -1 |
| 28.5 | 42.5 | 0 1 2 |
| 31.1 | 100.0 | -3 2 1 |
| 33.0 | 42.8 | 1 -2 3 |
| 33.4 | 53.3 | 2 2 -2 |

4.
MgV4O5F7: computed powder X-ray diffraction pattern (a wavelength of 1.5418 Å), based on a PBE+U-relaxed structure.

Structural model:
```
data_MgV4O5F7
_chemical_formula_sum 'Mg1 V4 O5 F7'
_cell_length_a 5.242
_cell_length_b 5.280
_cell_length_c 9.290
_cell_angle_alpha 74.66
_cell_angle_beta 88.79
_cell_angle_gamma 61.02
_space_group_name_H-M_alt 'P 1'
_space_group_IT_number 1
_space_group_name_Hall 'P 1'
loop_
_atom_site_label
_atom_site_type_symbol
_atom_site_fract_x
_atom_site_fract_y
_atom_site_fract_z
Mg1 Mg 0.000 0.000 0.000
V1 V 0.108 0.740 0.386
V2 V 0.367 0.264 0.109
V3 V 0.578 0.782 0.867
V4 V 0.816 0.244 0.608
O1 O 0.032 0.028 0.499
O2 O 0.384 0.624 0.004
O3 O 0.454 0.482 0.471
O4 O 0.617 0.005 0.998
O5 O 0.708 0.965 0.724
F1 F 0.105 0.517 0.243
F2 F 0.142 0.088 0.782
F3 F 0.221 0.963 0.206
F4 F 0.602 0.503 0.745
F5 F 0.714 0.060 0.269
F6 F 0.903 0.581 0.522
F7 F 0.970 0.412 0.973
```

Main lines, by angle (2θ from 10° to 90°):
| 2theta | intensity | index |
| --- | --- | --- |
| 23.1 | 100.0 | 1 0 1 |
| 23.8 | 96.5 | 1 1 -1 |
| 23.9 | 78.1 | 0 1 2 |
| 32.5 | 17.6 | 0 1 -2 |
| 33.3 | 20.4 | 1 1 3 |
| 33.6 | 18.0 | -1 1 1 |
| 34.0 | 37.8 | 1 0 -3 |
| 40.2 | 15.7 | 1 2 3 |
| 47.1 | 31.2 | 2 0 2 |
| 48.6 | 28.6 | 2 2 -2 |
| 49.0 | 19.4 | 0 2 4 |
| 54.9 | 24.6 | 2 1 -4 |

5.
Li5Ti2Ni3O10: computed powder X-ray diffraction pattern (a wavelength of 1.5418 Å), based on a PBE+U-relaxed structure.

Structural model:
```
data_Li5Ti2Ni3O10
_chemical_formula_sum 'Li5 Ti2 Ni3 O10'
_cell_length_a 5.102
_cell_length_b 5.137
_cell_length_c 7.732
_cell_angle_alpha 108.96
_cell_angle_beta 101.17
_cell_angle_gamma 100.73
_space_group_name_H-M_alt 'P -1'
_space_group_IT_number 2
_space_group_name_Hall '-P 1'
loop_
_atom_site_label
_atom_site_type_symbol
_atom_site_fract_x
_atom_site_fract_y
_atom_site_fract_z
Li1 Li 0.000 0.000 0.000
Li2 Li 0.090 0.198 0.702
Li3 Li 0.284 0.599 0.104
Ti1 Ti 0.394 0.783 0.807
Ni1 Ni 0.198 0.393 0.400
Ni2 Ni 0.500 0.000 0.500
O1 O 0.062 0.611 0.842
O2 O 0.175 0.804 0.558
O3 O 0.279 0.012 0.270
O4 O 0.365 0.179 0.959
O5 O 0.450 0.418 0.656
```

Main lines, by angle (2θ from 10° to 90°):
| 2theta | intensity | index |
| --- | --- | --- |
| 12.6 | 83.7 | 0 0 1 |
| 18.4 | 77.5 | 0 1 -1 |
| 22.6 | 13.3 | 1 -1 0 |
| 27.0 | 18.6 | 1 0 -2 |
| 37.3 | 17.5 | 1 1 1 |
| 43.1 | 100.0 | -1 2 1 |
| 44.0 | 46.7 | 2 1 -2 |
| 62.2 | 13.5 | 2 -3 2 |
| 62.7 | 13.5 | 3 0 1 |
| 63.1 | 27.8 | 0 1 4 |
| 63.5 | 13.4 | -3 1 3 |
| 63.8 | 12.2 | 1 2 -5 |

6.
Li2Mn2FeO6: computed powder X-ray diffraction pattern (a wavelength of 1.5418 Å), based on a PBE+U-relaxed structure.

Structural model:
```
data_Li2Mn2FeO6
_chemical_formula_sum 'Li6 Mn6 Fe3 O18'
_cell_length_a 6.634
_cell_length_b 6.667
_cell_length_c 8.664
_cell_angle_alpha 70.89
_cell_angle_beta 70.87
_cell_angle_gamma 82.52
_space_group_name_H-M_alt 'P -1'
_space_group_IT_number 2
_space_group_name_Hall '-P 1'
loop_
_atom_site_label
_atom_site_type_symbol
_atom_site_fract_x
_atom_site_fract_y
_atom_site_fract_z
Li1 Li 0.003 0.162 0.329
Li2 Li 0.331 0.166 0.001
Li3 Li 0.336 0.497 0.671
Mn1 Mn 0.002 0.172 0.832
Mn2 Mn 0.335 0.835 0.839
Mn3 Mn 0.337 0.164 0.499
Fe1 Fe 0.000 0.500 0.500
Fe2 Fe 0.329 0.496 0.167
O1 O 0.006 0.512 0.264
O2 O 0.022 0.860 0.912
O3 O 0.028 0.172 0.586
O4 O 0.307 0.148 0.772
O5 O 0.312 0.821 0.071
O6 O 0.327 0.470 0.415
O7 O 0.348 0.851 0.607
O8 O 0.350 0.527 0.913
O9 O 0.356 0.182 0.228
```

Main lines, by angle (2θ from 10° to 90°):
| 2theta | intensity | index |
| --- | --- | --- |
| 18.0 | 100.0 | 1 1 1 |
| 34.5 | 14.0 | 0 0 3 |
| 35.6 | 11.1 | 1 -2 1 |
| 35.8 | 11.0 | -2 1 1 |
| 36.4 | 7.5 | 2 2 2 |
| 37.1 | 6.4 | -1 2 2 |
| 41.7 | 22.5 | 1 1 4 |
| 43.1 | 20.4 | 0 3 0 |
| 43.3 | 20.1 | 3 0 0 |
| 46.6 | 6.9 | 0 3 3 |
| 61.6 | 11.3 | 1 -2 4 |
| 61.7 | 5.8 | -2 1 4 |

7.
LiV2P2O8: computed powder X-ray diffraction pattern (a wavelength of 1.5418 Å), based on a PBE+U-relaxed structure.

Structural model:
```
data_LiV2P2O8
_chemical_formula_sum 'Li2 V4 P4 O16'
_cell_length_a 4.839
_cell_length_b 10.329
_cell_length_c 5.933
_cell_angle_alpha 90.00
_cell_angle_beta 90.94
_cell_angle_gamma 90.00
_space_group_name_H-M_alt 'P 1 21 1'
_space_group_IT_number 4
_space_group_name_Hall 'P 2yb'
loop_
_atom_site_label
_atom_site_type_symbol
_atom_site_fract_x
_atom_site_fract_y
_atom_site_fract_z
Li1 Li 0.247 0.000 0.233
V1 V 0.229 0.276 0.998
V2 V 0.281 0.726 0.501
P1 P 0.151 0.408 0.497
P2 P 0.326 0.596 0.999
O1 O 0.006 0.841 0.298
O2 O 0.012 0.329 0.300
O3 O 0.012 0.604 0.985
O4 O 0.066 0.551 0.500
O5 O 0.440 0.458 0.992
O6 O 0.450 0.675 0.205
O7 O 0.465 0.390 0.511
O8 O 0.469 0.671 0.792
```

Main lines, by angle (2θ from 10° to 90°):
| 2theta | intensity | index |
| --- | --- | --- |
| 17.2 | 55.3 | 0 2 0 |
| 20.3 | 100.0 | 1 1 0 |
| 22.8 | 44.0 | 0 2 1 |
| 25.1 | 40.0 | 1 1 -1 |
| 25.5 | 44.0 | 1 1 1 |
| 30.1 | 83.7 | 0 0 2 |
| 35.3 | 66.3 | 1 3 -1 |
| 35.5 | 67.5 | 1 3 1 |
| 36.3 | 21.6 | 1 1 -2 |
| 51.5 | 21.7 | 2 2 -2 |
| 62.4 | 22.4 | 0 6 2 |
| 62.6 | 22.3 | 0 0 4 |